Record 1
Diffraction record for Nb9TlSe12. The X-ray powder pattern is computed, not measured: it uses a DFT-relaxed cell (PBE, the Materials Project) and copper Kα.

Principal peaks in the range 2θ from 10° to 80°, in order of falling intensity:
2theta	I (rel.)
37.24	1000
36.74	638
43.97	393
32.65	362
30.41	361
52.22	320
47.23	286
10.03	249
20.14	199
65.56	181

Crystal structure
```
44
Lattice="8.8194 5.0919 3.5027 -8.8194 5.0919 3.5027 0.0000 -10.1838 3.5027" Properties=species:S:1:pos:R:3 pbc="T T T"
Nb -4.3025 1.3924 2.6304
Nb -3.3681 -3.0273 4.3783
Nb 0.9454 -4.4223 2.6304
Nb -0.9398 -5.7610 4.3823
Nb -5.4591 -2.0666 6.1257
Nb -4.5193 3.6944 4.3823
Nb -4.3057 1.4032 6.1297
Nb -3.3571 -3.0299 7.8776
Nb 0.9376 -4.4305 6.1297
Nb -0.9376 4.4305 4.3783
Nb 3.3571 3.0299 2.6304
Nb 4.3057 -1.4032 4.3783
Nb 4.5193 -3.6944 6.1257
Nb 5.4591 2.0666 4.3823
Nb 0.9398 5.7610 6.1257
Nb -0.9454 4.4223 7.8776
Nb 3.3681 3.0273 6.1297
Nb 4.3025 -1.3924 7.8776
Tl 0.0000 0.0000 0.0000
Tl 0.0000 0.0000 5.2540
Se -2.4837 -8.1416 4.3863
Se -2.9981 -1.1241 2.6291
Se -8.2927 -1.9199 6.1217
Se -5.8789 0.0011 4.3800
Se -2.9404 -5.0907 6.1280
Se -0.5272 -3.1692 4.3726
Se -5.8090 6.2218 4.3863
Se 2.4725 -2.0344 2.6291
Se -2.4810 2.0411 4.3726
Se -3.0082 -1.1280 6.1354
Se 0.5256 3.1585 2.6291
Se 2.9385 -5.0918 4.3800
Se -2.9385 5.0918 6.1280
Se -0.5256 -3.1585 7.8789
Se 3.0082 1.1280 4.3726
Se 2.4810 -2.0411 6.1354
Se -2.4725 2.0344 7.8789
Se 5.8090 -6.2218 6.1217
Se 0.5272 3.1692 6.1354
Se 2.9404 5.0907 4.3800
Se 5.8789 -0.0011 6.1280
Se 8.2927 1.9199 4.3863
Se 2.9981 1.1241 7.8789
Se 2.4837 8.1416 6.1217
```

---

Record 2
Diffraction record for Nb2P2O9. The X-ray powder pattern is computed, not measured: it uses a DFT-relaxed cell (PBE, the Materials Project) and copper Kα.

Principal peaks in the range 2θ from 10° to 80°, in order of falling intensity:
2theta	I (rel.)
26.77	1000
14.97	880
34.75	758
21.78	618
20.43	575
22.55	466
52.61	436
28.23	390
55.15	381
25.43	379

Crystal structure
```
26
Lattice="3.3303 -4.3470 0.0000 3.3303 4.3470 0.0000 0.0000 0.0000 11.8330" Properties=species:S:1:pos:R:3 pbc="T T T"
Nb 3.3303 2.5757 11.1232
Nb 3.3303 1.7713 5.2067
Nb 3.3303 -1.7713 6.6263
Nb 3.3303 -2.5757 0.7098
P 3.3303 3.4300 7.6594
P 3.3303 0.9170 1.7429
P 3.3303 -0.9170 10.0901
P 3.3303 -3.4300 4.1736
O 0.0000 0.0000 0.0000
O 2.1650 2.6710 6.9050
O 3.3303 3.7848 4.4327
O 2.1650 1.6759 0.9885
O 3.3303 3.1167 9.1472
O 3.3303 1.2302 3.2307
O 4.4956 2.6710 6.9050
O 3.3303 0.5621 10.3492
O 4.4956 1.6759 0.9885
O 3.3303 0.0000 5.9165
O 2.1650 -1.6759 10.8445
O 3.3303 -0.5621 1.4838
O 2.1650 -2.6710 4.9280
O 3.3303 -1.2302 8.6023
O 3.3303 -3.1167 2.6858
O 4.4956 -1.6759 10.8445
O 3.3303 -3.7848 7.4003
O 4.4956 -2.6710 4.9280
```

---

Record 3
Diffraction record for HoB2C. The X-ray powder pattern is computed, not measured: it uses a DFT-relaxed cell (PBE, the Materials Project) and copper Kα.

Principal peaks in the range 2θ from 10° to 80°, in order of falling intensity:
2theta	I (rel.)
38.34	1000
35.88	799
29.45	791
26.28	709
24.00	612
61.69	427
55.89	365
49.11	314
77.59	278
58.33	241

Crystal structure
```
32
Lattice="6.7826 0.0000 0.0000 0.0000 6.7826 0.0000 0.0000 0.0000 7.4161" Properties=species:S:1:pos:R:3 pbc="T T T"
Ho 1.2918 2.0995 1.8540
Ho 1.2918 2.0995 5.5621
Ho 2.0995 5.4908 1.8540
Ho 2.0995 5.4908 5.5621
Ho 4.6831 1.2918 1.8540
Ho 4.6831 1.2918 5.5621
Ho 5.4908 4.6831 1.8540
Ho 5.4908 4.6831 5.5621
B 0.2347 5.7518 0.0000
B 0.6417 4.0493 0.0000
B 0.6580 4.0330 3.7080
B 1.0308 0.2347 3.7080
B 2.3605 3.6260 3.7080
B 2.7333 0.6417 3.7080
B 2.7496 0.6580 0.0000
B 3.1566 2.3605 0.0000
B 3.6260 4.4222 0.0000
B 4.0330 6.1247 0.0000
B 4.0493 6.1409 3.7080
B 4.4222 3.1566 3.7080
B 5.7518 6.5479 3.7080
B 6.1247 2.7496 3.7080
B 6.1409 2.7333 0.0000
B 6.5479 1.0308 0.0000
C 0.2744 5.5794 3.7080
C 1.2032 0.2744 0.0000
C 2.1881 3.6657 0.0000
C 3.1169 2.1881 3.7080
C 3.6657 4.5945 3.7080
C 4.5945 3.1169 0.0000
C 5.5794 6.5082 0.0000
C 6.5082 1.2032 3.7080
```

---

Record 4
Diffraction record for MgNb2Cu2O6F2. The X-ray powder pattern is computed, not measured: it uses a DFT-relaxed cell (PBE, the Materials Project) and copper Kα.

Principal peaks in the range 2θ from 10° to 80°, in order of falling intensity:
2theta	I (rel.)
26.03	1000
28.46	624
15.72	580
24.94	572
27.40	460
31.93	444
28.60	441
33.03	441
40.28	413
14.12	301

Crystal structure
```
13
Lattice="3.8672 0.0000 0.0000 0.2365 6.6103 0.0000 0.2832 2.3234 6.9927" Properties=species:S:1:pos:R:3 pbc="T T T"
Mg 0.0000 0.0000 0.0000
Nb 1.8287 2.1511 1.3349
Nb 4.0260 6.6807 3.4727
Cu 2.8375 6.9611 5.9872
Cu 3.6857 3.3058 4.5095
O 1.7705 3.5585 0.1967
O 2.0900 7.0423 3.0652
O 1.9128 0.6805 0.0589
O 4.0321 8.0466 5.0017
O 3.9772 5.1230 4.3865
O 3.7973 1.7145 1.6956
F 1.9400 3.1980 3.0675
F 4.0262 5.6137 1.6579
```

---

Record 5
Diffraction record for NaCd2Ag. The X-ray powder pattern is computed, not measured: it uses a DFT-relaxed cell (PBE, the Materials Project) and copper Kα.

Principal peaks in the range 2θ from 10° to 80°, in order of falling intensity:
2theta	I (rel.)
36.08	1000
64.88	332
51.95	168
21.86	139
76.54	101
25.30	80
42.59	71
58.63	30
57.01	29
44.58	23

Crystal structure
```
4
Lattice="0.0000 3.5205 3.5205 3.5205 0.0000 3.5205 3.5205 3.5205 0.0000" Properties=species:S:1:pos:R:3 pbc="T T T"
Na 0.0000 0.0000 0.0000
Cd 1.7603 1.7603 1.7603
Cd 5.2808 5.2808 5.2808
Ag 3.5205 3.5205 3.5205
```

---

Record 6
Diffraction record for HoPS4. The X-ray powder pattern is computed, not measured: it uses a DFT-relaxed cell (PBE, the Materials Project) and copper Kα.

Principal peaks in the range 2θ from 10° to 80°, in order of falling intensity:
2theta	I (rel.)
16.46	1000
24.95	616
42.03	497
30.04	490
38.39	407
37.33	326
41.45	227
33.26	194
57.45	169
54.14	162

Crystal structure
```
48
Lattice="-5.3870 5.3870 9.5285 5.3870 -5.3870 9.5285 5.3870 5.3870 -9.5285" Properties=species:S:1:pos:R:3 pbc="T T T"
Ho 5.3870 2.6935 -2.3821
Ho 5.3870 -2.6935 7.1464
Ho 0.0000 2.6935 2.3821
Ho 5.3870 2.6935 2.3821
Ho 0.0000 2.6935 7.1464
Ho 5.3870 2.6935 7.1464
Ho 0.0000 8.0805 2.3821
Ho 0.0000 2.6935 11.9106
P 2.6935 2.2833 0.0000
P 0.4102 0.0000 4.7643
P 5.7972 0.0000 4.7643
P 2.6935 -2.2833 9.5285
P 2.6935 7.6703 0.0000
P -0.4102 5.3870 4.7643
P 4.9768 5.3870 4.7643
P 2.6935 3.1037 9.5285
S 6.8511 -1.7582 4.7074
S 6.8511 3.6288 -4.7074
S 8.1229 2.0011 -1.7201
S 4.4517 1.2294 -0.0569
S 0.9353 1.2294 0.0569
S 4.6946 5.3447 -6.4843
S 4.6946 0.0424 3.0442
S 2.6511 3.3860 -1.7201
S 8.0382 2.0011 1.7201
S 4.6946 -0.0424 6.4843
S 4.6946 5.4294 -3.0442
S 6.3223 4.1576 -0.0569
S 4.4517 -1.2294 9.5854
S 2.7359 3.3860 1.7201
S 1.4641 1.7582 4.7074
S 6.8511 1.7582 4.8211
S -1.4641 3.6288 4.7074
S 3.9229 3.6288 4.8211
S 2.6511 2.0011 7.8084
S 0.9353 6.6164 -0.0569
S -0.9353 1.2294 9.5854
S 0.6925 -0.0424 12.5727
S 0.6925 5.4294 3.0442
S -2.6511 3.3860 7.8084
S 2.7359 2.0011 11.2486
S 0.6925 5.3447 6.4843
S 0.6925 0.0424 16.0129
S 4.4517 4.1576 9.4716
S 0.9353 4.1576 9.5854
S -2.7359 3.3860 11.2486
S -1.4641 1.7582 14.2359
S -1.4641 7.1452 4.8211
```